Calculated powder diffractogram
Compound: CaTl2VF6
Radiation: Cu Kα (weighted mean of Kα1 and Kα2)
Structure: DFT lattice parameters and positions (GGA+U)
Peak positions follow from Bragg's law for the DFT cell and can differ from measured ones.

Atomic structure:
Lattice parameters (Å, degrees): 6.204 6.204 6.204 120.11 119.85 90.04
Positions (direct):
Ca1 0.000 0.000 0.000
Tl1 0.252 0.752 0.500
Tl2 0.748 0.248 0.500
V1 0.500 0.500 0.000
F1 0.258 0.257 0.515
F2 0.258 0.258 0.000
F3 0.258 0.743 0.002
F4 0.742 0.257 0.998
F5 0.742 0.742 0.000
F6 0.742 0.743 0.485

Most intense lines, 5° ≤ 2θ ≤ 70°, low angle first:
2θ/deg, d/Å, intensity
20.2, 4.387, 46
28.8, 3.103, 100
28.8, 3.097, 20
35.4, 2.533, 41
41.2, 2.194, 41
46.2, 1.963, 12
46.3, 1.961, 12
50.9, 1.793, 25
51.1, 1.789, 25
59.6, 1.551, 17